This entry pairs a crystal structure of KCrClO3 with its simulated powder XRD pattern. Radiation: λ = 1.5418 Å (Cu Kα). Structure: a cell relaxed with GGA+U.

Peak list (8 most intense, 10° ≤ 2θ ≤ 80°, by intensity)
2theta  I (rel.)  h k l
24.50  100.0  1 0 -2
28.76  91.3  1 2 1
33.93  89.9  2 2 -1
25.19  70.9  1 0 2
21.19  69.7  2 0 0
26.53  64.7  0 2 1
25.48  62.5  0 1 2
32.02  48.5  3 0 0

```
KCrClO3
1.0
8.390 0.000 0.000
0.000 7.422 0.000
-0.278 0.000 7.927
K Cr Cl O
4 4 4 12
Direct
0.176 0.142 0.134 K
0.176 0.358 0.634 K
0.824 0.642 0.366 K
0.824 0.858 0.866 K
0.222 0.622 0.126 Cr
0.222 0.878 0.626 Cr
0.778 0.122 0.374 Cr
0.778 0.378 0.874 Cr
0.442 0.721 0.641 Cl
0.442 0.779 0.141 Cl
0.558 0.221 0.859 Cl
0.558 0.279 0.359 Cl
0.072 0.738 0.611 O
0.072 0.762 0.111 O
0.210 0.001 0.796 O
0.210 0.499 0.296 O
0.225 0.011 0.463 O
0.225 0.489 0.963 O
0.775 0.511 0.037 O
0.775 0.989 0.537 O
0.790 0.501 0.704 O
0.790 0.999 0.204 O
0.928 0.238 0.889 O
0.928 0.262 0.389 O
```